RbTl2MoO6: calculated powder diffractogram (copper Kα), based on a PBE+U-relaxed structure.

Largest 10 diffraction maxima, by angle, 2θ from 10° to 90°:
- d = 7.561 Å, I 91
- d = 6.044 Å, I 53
- d = 4.467 Å, I 100
- d = 3.721 Å, I 58
- d = 3.504 Å, I 62
- d = 3.120 Å, I 87
- d = 3.058 Å, I 51
- d = 3.036 Å, I 70
- d = 2.979 Å, I 70
- d = 2.004 Å, I 48

Crystal structure
Cell: 8.0897 8.0897 7.3597 Å, 106.76 106.76 96.69°
Element x y z (fractional)
Rb 0.1316 0.8684 0.7500
Rb 0.8684 0.1316 0.2500
Tl 0.3019 0.4293 0.8269
Tl 0.4293 0.3019 0.3269
Tl 0.5707 0.6981 0.6731
Tl 0.6981 0.5707 0.1731
Mo 0.1845 0.8155 0.2500
Mo 0.8155 0.1845 0.7500
O 0.0197 0.2085 0.6954
O 0.1700 0.6409 0.0274
O 0.2085 0.0197 0.1954
O 0.3172 0.4558 0.5423
O 0.3591 0.8300 0.4726
O 0.4558 0.3172 0.0423
O 0.5442 0.6828 0.9577
O 0.6409 0.1700 0.5274
O 0.6828 0.5442 0.4577
O 0.7915 0.9803 0.8046
O 0.8300 0.3591 0.9726
O 0.9803 0.7915 0.3046